[1]
Computed powder diffractogram of HfTc2Os for Cu Kα, from a cell relaxed with GGA-PBE.
Intensities are scaled so that the largest is 100.

Crystal structure
```
data_HfTc2Os
_cell_length_a 6.325
_cell_length_b 6.325
_cell_length_c 6.325
_cell_angle_alpha 90.00
_cell_angle_beta 90.00
_cell_angle_gamma 90.00
_space_group_name_H-M_alt 'F -4 3 m'
_space_group_IT_number 216
_space_group_name_Hall 'F -4 2 3'
loop_
_atom_site_label
_atom_site_fract_x
_atom_site_fract_y
_atom_site_fract_z
Hf1 0.000 0.000 0.000
Tc1 0.000 0.000 0.500
Tc2 0.250 0.250 0.250
Os1 0.250 0.250 0.750
```

The 8 most intense peaks (15° ≤ 2θ ≤ 90°), low angle first:
2θ 24.4, intensity 10, hkl 1 1 1; 2θ 40.3, intensity 100, hkl 2 2 0; 2θ 47.7, intensity 5, hkl 3 1 1; 2θ 58.4, intensity 17, hkl 4 0 0; 2θ 64.2, intensity 2, hkl 3 3 1; 2θ 73.3, intensity 34, hkl 4 2 2; 2θ 78.6, intensity 2, hkl 5 1 1; 2θ 87.2, intensity 11, hkl 4 4 0

=====

[2]
Computed powder diffractogram of Hf7P4 for Cu Kα, from a cell relaxed with GGA-PBE.
Intensities are scaled so that the largest is 100.

Crystal structure
```
data_Hf7P4
_cell_length_a 15.743
_cell_length_b 3.528
_cell_length_c 14.679
_cell_angle_alpha 90.00
_cell_angle_beta 104.53
_cell_angle_gamma 90.00
_space_group_name_H-M_alt 'C 1 2/m 1'
_space_group_IT_number 12
loop_
_space_group_symop_operation_xyz
'x,y,z'
'-x,-y,-z'
'-x,y,-z'
'x,-y,z'
'x+1/2,y+1/2,z'
'-x+1/2,-y+1/2,-z'
'-x+1/2,y+1/2,-z'
'x+1/2,-y+1/2,z'
loop_
_atom_site_label
_atom_site_fract_x
_atom_site_fract_y
_atom_site_fract_z
Hf1 0.000 0.000 0.000
Hf2 0.000 0.500 0.500
Hf3 0.004 0.000 0.669
Hf4 0.069 0.500 0.169
Hf5 0.161 0.500 0.971
Hf6 0.176 0.000 0.541
Hf7 0.197 0.000 0.311
Hf8 0.205 0.000 0.798
P1 0.063 0.000 0.852
P2 0.124 0.500 0.399
P3 0.130 0.500 0.661
P4 0.177 0.000 0.111
```

The 10 most intense peaks (15° ≤ 2θ ≤ 90°), low angle first:
2θ 32.4, intensity 41, hkl 3 1 1; 2θ 33.9, intensity 55, hkl 3 1 -3; 2θ 35.3, intensity 74, hkl 1 1 -4; 2θ 37.4, intensity 50, hkl 1 1 4; 2θ 38.0, intensity 56, hkl 0 0 6; 2θ 38.7, intensity 100, hkl 3 1 3; 2θ 39.1, intensity 51, hkl 5 1 0; 2θ 51.8, intensity 37, hkl 0 2 0; 2θ 59.4, intensity 31, hkl 5 1 -8; 2θ 66.1, intensity 23, hkl 0 2 6

=====

[3]
Computed powder diffractogram of Hf2P for Cu Kα, from a cell relaxed with GGA-PBE.
Intensities are scaled so that the largest is 100.

Crystal structure
```
data_Hf2P
_cell_length_a 12.268
_cell_length_b 15.063
_cell_length_c 3.595
_cell_angle_alpha 90.00
_cell_angle_beta 90.00
_cell_angle_gamma 90.00
_space_group_name_H-M_alt 'P n n m'
_space_group_IT_number 58
loop_
_space_group_symop_operation_xyz
'x,y,z'
'-x,-y,-z'
'-x,-y,z'
'x,y,-z'
'x+1/2,-y+1/2,-z+1/2'
'-x+1/2,y+1/2,z+1/2'
'-x+1/2,y+1/2,-z+1/2'
'x+1/2,-y+1/2,z+1/2'
loop_
_atom_site_label
_atom_site_fract_x
_atom_site_fract_y
_atom_site_fract_z
Hf1 0.026 0.106 0.000
Hf2 0.088 0.576 0.000
Hf3 0.097 0.746 0.500
Hf4 0.117 0.416 0.500
Hf5 0.160 0.978 0.500
Hf6 0.187 0.209 0.500
P1 0.057 0.288 0.000
P2 0.187 0.850 0.000
P3 0.244 0.591 0.500
```

The 10 most intense peaks (15° ≤ 2θ ≤ 90°), low angle first:
2θ 31.2, intensity 41, hkl 2 2 1; 2θ 33.2, intensity 98, hkl 3 0 1; 2θ 35.3, intensity 59, hkl 1 4 1; 2θ 37.1, intensity 92, hkl 3 5 0; 2θ 37.6, intensity 100, hkl 2 4 1; 2θ 37.8, intensity 88, hkl 3 3 1; 2θ 39.0, intensity 53, hkl 0 5 1; 2θ 50.8, intensity 46, hkl 0 0 2; 2θ 61.7, intensity 39, hkl 7 3 1; 2θ 64.5, intensity 37, hkl 3 5 2

=====

[4]
Computed powder diffractogram of Hf3P3Pd4 for Cu Kα, from a cell relaxed with GGA-PBE.
Intensities are scaled so that the largest is 100.

Crystal structure
```
data_Hf3P3Pd4
_cell_length_a 16.460
_cell_length_b 3.806
_cell_length_c 10.053
_cell_angle_alpha 90.00
_cell_angle_beta 90.00
_cell_angle_gamma 90.00
_space_group_name_H-M_alt 'P n m a'
_space_group_IT_number 62
loop_
_space_group_symop_operation_xyz
'x,y,z'
'-x,-y,-z'
'-x+1/2,-y,z+1/2'
'x+1/2,y,-z+1/2'
'x+1/2,-y+1/2,-z+1/2'
'-x+1/2,y+1/2,z+1/2'
'-x,y+1/2,-z'
'x,-y+1/2,z'
loop_
_atom_site_label
_atom_site_fract_x
_atom_site_fract_y
_atom_site_fract_z
Hf1 0.048 0.250 0.118
Hf2 0.061 0.750 0.588
Hf3 0.240 0.250 0.979
P1 0.043 0.750 0.321
P2 0.114 0.750 0.967
P3 0.177 0.250 0.610
Pd1 0.080 0.250 0.819
Pd2 0.128 0.250 0.383
Pd3 0.176 0.750 0.189
Pd4 0.206 0.750 0.768
```

The 10 most intense peaks (15° ≤ 2θ ≤ 90°), low angle first:
2θ 36.1, intensity 17, hkl 1 1 3; 2θ 36.8, intensity 34, hkl 4 1 2; 2θ 37.2, intensity 100, hkl 5 1 1; 2θ 37.4, intensity 82, hkl 2 0 4; 2θ 39.4, intensity 54, hkl 3 1 3; 2θ 42.4, intensity 19, hkl 7 0 2; 2θ 47.8, intensity 44, hkl 0 2 0; 2θ 62.2, intensity 24, hkl 5 0 6; 2θ 65.8, intensity 23, hkl 7 1 5; 2θ 82.0, intensity 19, hkl 5 3 1

=====

[5]
Computed powder diffractogram of Hf5P7Pd9 for Cu Kα, from a cell relaxed with GGA-PBE.
Intensities are scaled so that the largest is 100.

Crystal structure
```
data_Hf5P7Pd9
_cell_length_a 3.791
_cell_length_b 26.610
_cell_length_c 6.540
_cell_angle_alpha 90.00
_cell_angle_beta 90.00
_cell_angle_gamma 90.00
_space_group_name_H-M_alt 'A m m 2'
_space_group_IT_number 38
loop_
_space_group_symop_operation_xyz
'x,y,z'
'-x,-y,z'
'-x,y,z'
'x,-y,z'
'x,y+1/2,z+1/2'
'-x,-y+1/2,z+1/2'
'-x,y+1/2,z+1/2'
'x,-y+1/2,z+1/2'
loop_
_atom_site_label
_atom_site_fract_x
_atom_site_fract_y
_atom_site_fract_z
Hf1 0.000 0.000 0.000
Hf2 0.000 0.088 0.620
Hf3 0.500 0.229 0.224
P1 0.000 0.000 0.398
P2 0.000 0.215 0.937
P3 0.500 0.068 0.904
P4 0.500 0.144 0.422
Pd1 0.000 0.140 0.176
Pd2 0.000 0.196 0.554
Pd3 0.500 0.000 0.646
Pd4 0.500 0.058 0.270
Pd5 0.500 0.157 0.837
```

The 10 most intense peaks (15° ≤ 2θ ≤ 90°), low angle first:
2θ 27.1, intensity 21, hkl 0 7 1; 2θ 29.0, intensity 16, hkl 1 3 1; 2θ 36.2, intensity 100, hkl 1 7 1; 2θ 36.3, intensity 42, hkl 1 0 2; 2θ 38.8, intensity 54, hkl 1 4 2; 2θ 39.7, intensity 28, hkl 0 11 1; 2θ 41.5, intensity 21, hkl 1 10 0; 2θ 42.7, intensity 15, hkl 0 3 3; 2θ 43.9, intensity 17, hkl 0 10 2; 2θ 48.0, intensity 30, hkl 2 0 0

=====

[6]
Computed powder diffractogram of Hf2ZrP4Pd4 for Cu Kα, from a cell relaxed with GGA-PBE.
Intensities are scaled so that the largest is 100.

Crystal structure
```
data_Hf2ZrP4Pd4
_cell_length_a 6.503
_cell_length_b 3.805
_cell_length_c 7.508
_cell_angle_alpha 90.00
_cell_angle_beta 90.63
_cell_angle_gamma 90.00
_space_group_name_H-M_alt 'P 1 m 1'
_space_group_IT_number 6
loop_
_space_group_symop_operation_xyz
'x,y,z'
'x,-y,z'
loop_
_atom_site_label
_atom_site_fract_x
_atom_site_fract_y
_atom_site_fract_z
Hf1 0.000 0.000 0.000
Hf2 0.431 0.500 0.487
Zr1 0.929 0.500 0.631
P1 0.220 0.000 0.687
P2 0.231 0.500 0.189
P3 0.706 0.000 0.441
P4 0.721 0.500 0.939
Pd1 0.110 0.000 0.371
Pd2 0.319 0.500 0.881
Pd3 0.611 0.000 0.760
Pd4 0.817 0.500 0.250
```

The 10 most intense peaks (15° ≤ 2θ ≤ 90°), low angle first:
2θ 17.9, intensity 37, hkl 1 0 -1; 2θ 18.1, intensity 31, hkl 1 0 1; 2θ 29.6, intensity 31, hkl 1 1 -1; 2θ 36.2, intensity 71, hkl 1 1 -2; 2θ 36.3, intensity 100, hkl 2 1 0; 2θ 36.5, intensity 57, hkl 1 1 2; 2θ 38.2, intensity 47, hkl 2 1 -1; 2θ 38.4, intensity 80, hkl 1 0 -3; 2θ 43.3, intensity 81, hkl 0 1 3; 2θ 47.8, intensity 51, hkl 0 2 0